The following is a simulated powder diffraction line list of NaB2Pb3O6. It was derived from a DFT-relaxed cell (PBE, Alexandria), using Cu Kα, 1.54184 Å.

Structural model:
abc: 5.4666 5.4666 6.9826
angles: 90.00 90.00 120.00
Space group P-3m1 (No. 164)
Unique sites:
Na  0.0000  0.0000  0.0000 (multiplicity 1)
B  0.3333  0.6667  0.7749 (multiplicity 2)
Pb  0.0000  0.0000  0.5000 (multiplicity 1)
Pb  0.3333  0.6667  0.2060 (multiplicity 2)
O  0.1864  0.3729  0.7774 (multiplicity 6)

Most intense lines, 2θ = 10–80°, sorted by position:
(1 0 1), 22.7°, intensity 100; (0 1 2), 31.8°, intensity 63; (1 1 0), 32.8°, intensity 58; (0 2 1), 40.2°, intensity 39; (2 0 2), 46.3°, intensity 28; (1 1 3), 51.6°, intensity 19; (2 1 1), 52.8°, intensity 25; (1 2 2), 57.9°, intensity 21

The following is a simulated powder diffraction line list of Na2PrBO4. It was derived from a DFT-relaxed cell (PBE, Alexandria), using Cu Kα, 1.54184 Å.

Structural model:
abc: 5.683 5.683 5.903
angles: 90.00 90.00 90.00
Space group I-42m (No. 121)
Unique sites:
Na  0.000  0.500  0.250 (multiplicity 4)
Pr  0.000  0.000  0.000 (multiplicity 2)
B  0.000  0.000  0.500 (multiplicity 2)
O  0.155  0.155  0.647 (multiplicity 8)

Most intense lines, 2θ = 10–80°, sorted by position:
(1 0 1), 21.7°, intensity 100; (1 1 0), 22.1°, intensity 65; (2 0 0), 31.5°, intensity 52; (1 1 2), 37.8°, intensity 81; (2 1 1), 38.6°, intensity 86; (2 2 0), 45.1°, intensity 27; (1 0 3), 49.0°, intensity 27; (3 1 2), 60.3°, intensity 43

The following is a simulated powder diffraction line list of Na3B2PtO6. It was derived from a DFT-relaxed cell (PBE, Alexandria), using Cu Kα, 1.54184 Å.

Structural model:
abc: 5.1649 5.1649 6.2867
angles: 90.00 90.00 120.00
Space group P-3m1 (No. 164)
Unique sites:
Na  0.0000  0.0000  0.0000 (multiplicity 1)
Na  0.3333  0.6667  0.7507 (multiplicity 2)
B  0.3333  0.6667  0.2861 (multiplicity 2)
Pt  0.0000  0.0000  0.5000 (multiplicity 1)
O  0.1785  0.3570  0.2732 (multiplicity 6)

Most intense lines, 2θ = 10–80°, sorted by position:
(0 0 1), 14.1°, intensity 70; (1 0 0), 19.8°, intensity 100; (1 0 1), 24.4°, intensity 93; (1 1 0), 34.7°, intensity 43; (1 0 2), 34.9°, intensity 79; (1 1 1), 37.7°, intensity 30; (2 0 2), 50.1°, intensity 41; (3 0 0), 62.3°, intensity 32